[1]
The following is a calculated X-ray powder pattern of Li5La5Si4N12. It was derived from a DFT-relaxed cell (GGA-PBE, the Materials Project), using copper Kα.
No peak broadening, texture or thermal motion is included.

The 10 most intense peaks (10° ≤ 2θ ≤ 90°), sorted by position:
2θ = 11.31°, rel. 29, (1 1 0)
2θ = 23.98°, rel. 100, (2 1 1)
2θ = 25.45°, rel. 66, (3 1 0)
2θ = 31.91°, rel. 23, (0 0 2)
2θ = 32.36°, rel. 28, (4 0 0)
2θ = 33.27°, rel. 96, (3 2 1)
2θ = 33.96°, rel. 47, (1 1 2)
2θ = 41.61°, rel. 44, (5 1 0)
2θ = 46.09°, rel. 54, (4 0 2)
2θ = 47.10°, rel. 30, (5 2 1)

Structure:
Cell: 11.0671 11.0671 5.6084 Å, 90.00 90.00 90.00°
Space group P-4b2 (No. 117)
Inequivalent atoms, fractional coordinates:
Li  0.0000  0.5000  0.0000 [2 per cell]
Li  0.1171  0.2892  0.1469 [8 per cell]
La  0.0000  0.5000  0.5000 [2 per cell]
La  0.1168  0.8765  0.2670 [8 per cell]
Si  0.1078  0.7312  0.7618 [8 per cell]
N  0.0341  0.3324  0.7980 [8 per cell]
N  0.1042  0.8909  0.7367 [8 per cell]
N  0.1723  0.6723  0.5000 [4 per cell]
N  0.2096  0.7096  0.0000 [4 per cell]

[2]
The following is a calculated X-ray powder pattern of Cr2Ir2C. It was derived from a DFT-relaxed cell (GGA-PBE, the Materials Project), using copper Kα.
No peak broadening, texture or thermal motion is included.

The 10 most intense peaks (10° ≤ 2θ ≤ 90°), sorted by position:
2θ = 10.03°, rel. 100, (0 0 3)
2θ = 30.42°, rel. 17, (0 0 9)
2θ = 37.94°, rel. 22, (1 0 1)
2θ = 40.25°, rel. 100, (1 0 4)
2θ = 40.95°, rel. 30, (0 0 12)
2θ = 41.59°, rel. 17, (0 1 5)
2θ = 47.03°, rel. 68, (0 1 8)
2θ = 68.21°, rel. 22, (1 1 0)
2θ = 69.18°, rel. 26, (1 0 16)
2θ = 82.74°, rel. 24, (1 1 12)

Structure:
Cell: 2.7497 2.7497 26.4470 Å, 90.00 90.00 120.00°
Space group R-3m (No. 166, hexagonal axes)
Inequivalent atoms, fractional coordinates:
Cr  0.0000  0.0000  0.1229 [6 per cell]
Ir  0.0000  0.0000  0.3780 [6 per cell]
C  0.0000  0.0000  0.5000 [3 per cell]

[3]
The following is a calculated X-ray powder pattern of BaLiAl3P2H2O14. It was derived from a DFT-relaxed cell (GGA-PBE, the Materials Project), using copper Kα.
No peak broadening, texture or thermal motion is included.

The 10 most intense peaks (10° ≤ 2θ ≤ 90°), sorted by position:
2θ = 14.40°, rel. 44, (2 0 -1)
2θ = 15.94°, rel. 100, (1 1 0)
2θ = 23.41°, rel. 21, (1 1 1)
2θ = 24.81°, rel. 39, (3 1 -1)
2θ = 27.63°, rel. 25, (0 2 0)
2θ = 28.12°, rel. 46, (3 1 0)
2θ = 28.28°, rel. 38, (3 1 -2)
2θ = 30.74°, rel. 23, (0 2 1)
2θ = 34.24°, rel. 20, (2 0 -3)
2θ = 34.81°, rel. 22, (1 1 2)

Structure:
Cell: 12.9550 6.4562 7.9451 Å, 90.00 122.44 90.00°
Space group Cm (No. 8)
Inequivalent atoms, fractional coordinates:
Ba  0.0000  0.0000  0.0000 [2 per cell]
Li  0.1826  0.5000  0.7782 [2 per cell]
Al  0.2176  0.2456  0.5002 [4 per cell]
Al  0.4637  0.5000  0.4940 [2 per cell]
P  0.1914  0.5000  0.1495 [2 per cell]
P  0.2392  0.0000  0.8565 [2 per cell]
H  0.0575  0.5000  0.3883 [2 per cell]
H  0.2933  0.0000  0.3625 [2 per cell]
O  0.0589  0.1184  0.4010 [4 per cell]
O  0.0959  0.0000  0.7568 [2 per cell]
O  0.1147  0.5000  0.9250 [2 per cell]
O  0.1405  0.5000  0.5070 [2 per cell]
O  0.1600  0.3046  0.2313 [4 per cell]
O  0.2686  0.1996  0.7707 [4 per cell]
O  0.2850  0.0000  0.4783 [2 per cell]
O  0.3060  0.0000  0.0792 [2 per cell]
O  0.3316  0.5000  0.2359 [2 per cell]
O  0.3717  0.3812  0.5958 [4 per cell]

[4]
The following is a calculated X-ray powder pattern of UNiSn. It was derived from a DFT-relaxed cell (GGA-PBE, the Materials Project), using copper Kα.
No peak broadening, texture or thermal motion is included.

The 10 most intense peaks (10° ≤ 2θ ≤ 90°), sorted by position:
2θ = 24.30°, rel. 22, (1 1 1)
2θ = 28.13°, rel. 59, (2 0 0)
2θ = 40.21°, rel. 100, (2 2 0)
2θ = 47.54°, rel. 11, (3 1 1)
2θ = 49.79°, rel. 17, (2 2 2)
2θ = 58.17°, rel. 17, (4 0 0)
2θ = 63.97°, rel. 5, (3 3 1)
2θ = 65.84°, rel. 24, (4 2 0)
2θ = 73.07°, rel. 36, (4 2 2)
2θ = 86.85°, rel. 12, (4 4 0)

Structure:
Cell: 6.3439 6.3439 6.3439 Å, 90.00 90.00 90.00°
Space group F-43m (No. 216)
Inequivalent atoms, fractional coordinates:
U  0.0000  0.0000  0.0000 [4 per cell]
Ni  0.2500  0.2500  0.7500 [4 per cell]
Sn  0.0000  0.0000  0.5000 [4 per cell]

[5]
The following is a calculated X-ray powder pattern of ErFe6Sn6. It was derived from a DFT-relaxed cell (GGA-PBE, the Materials Project), using copper Kα.
No peak broadening, texture or thermal motion is included.

The 10 most intense peaks (10° ≤ 2θ ≤ 90°), sorted by position:
2θ = 33.08°, rel. 51, (0 0 2)
2θ = 33.20°, rel. 100, (0 12 1)
2θ = 38.42°, rel. 33, (0 8 2)
2θ = 38.87°, rel. 47, (2 0 2)
2θ = 38.97°, rel. 93, (2 12 1)
2θ = 40.28°, rel. 38, (4 0 0)
2θ = 43.63°, rel. 62, (2 8 2)
2θ = 59.16°, rel. 25, (0 12 3)
2θ = 69.69°, rel. 30, (0 24 2)
2θ = 72.33°, rel. 56, (6 0 2)

Structure:
Cell: 8.9549 37.3495 5.4160 Å, 90.00 90.00 90.00°
Space group Cmcm (No. 63)
Inequivalent atoms, fractional coordinates:
Er  0.0000  0.0632  0.2500 [4 per cell]
Er  0.0000  0.1900  0.7500 [4 per cell]
Fe  0.2453  0.0626  0.7500 [8 per cell]
Fe  0.2458  0.0000  0.0000 [8 per cell]
Fe  0.2458  0.1246  0.0012 [16 per cell]
Fe  0.2478  0.1876  0.2500 [8 per cell]
Fe  0.2500  0.2500  0.0000 [8 per cell]
Sn  0.0000  0.0210  0.7500 [4 per cell]
Sn  0.0000  0.1053  0.7500 [4 per cell]
Sn  0.0000  0.1471  0.2500 [4 per cell]
Sn  0.0000  0.2310  0.2500 [4 per cell]
Sn  0.0000  0.2731  0.7500 [4 per cell]
Sn  0.0000  0.3554  0.7500 [4 per cell]
Sn  0.0000  0.3961  0.2500 [4 per cell]
Sn  0.0000  0.4793  0.2500 [4 per cell]
Sn  0.1632  0.3133  0.2500 [8 per cell]
Sn  0.1633  0.4380  0.7500 [8 per cell]

[6]
The following is a calculated X-ray powder pattern of HfV2H4. It was derived from a DFT-relaxed cell (GGA-PBE, the Materials Project), using copper Kα.
No peak broadening, texture or thermal motion is included.

The 10 most intense peaks (10° ≤ 2θ ≤ 90°), sorted by position:
2θ = 19.92°, rel. 48, (1 0 1)
2θ = 32.63°, rel. 82, (1 1 2)
2θ = 33.18°, rel. 38, (2 0 0)
2θ = 38.04°, rel. 53, (1 0 3)
2θ = 39.01°, rel. 100, (2 1 1)
2θ = 40.48°, rel. 15, (2 0 2)
2θ = 57.87°, rel. 16, (2 0 4)
2θ = 58.94°, rel. 31, (3 1 2)
2θ = 63.20°, rel. 24, (3 2 1)
2θ = 68.36°, rel. 23, (2 2 4)

Structure:
Cell: 5.3994 5.3994 7.8952 Å, 90.00 90.00 90.00°
Space group I4_1/a (No. 88, origin choice 2)
Inequivalent atoms, fractional coordinates:
Hf  0.0000  0.2500  0.1250 [4 per cell]
V  0.0000  0.0000  0.5000 [8 per cell]
H  0.1813  0.0677  0.3139 [16 per cell]